Starting from a DFT-relaxed cell (GGA-PBE, Alexandria), the powder diffractogram of Dy4Ni3Ag was computed for a wavelength of 1.5418 Å.
Intensities are scaled so that the largest is 100.

Largest 10 diffraction maxima, sorted by position, 10° ≤ 2θ ≤ 90°:
- 2θ 26.53, rel. 29
- 2θ 32.56, rel. 100
- 2θ 35.13, rel. 23
- 2θ 35.76, rel. 34
- 2θ 40.45, rel. 31
- 2θ 40.70, rel. 18
- 2θ 41.26, rel. 47
- 2θ 49.03, rel. 18
- 2θ 55.08, rel. 20
- 2θ 65.38, rel. 17

Atomic structure:
```
Dy4Ni3Ag
1.0
3.7159 0.0000 0.0000
0.0000 4.4601 0.0000
0.0000 0.0000 10.2188
Dy Ni Ag
4 3 1
direct
0.0000 0.0000 0.0000
0.0000 0.5000 0.2627
0.5000 0.0000 0.4715
0.5000 0.5000 0.7705
0.0000 0.5000 0.5441
0.5000 0.0000 0.2000
0.5000 0.5000 0.0531
0.0000 0.0000 0.7003
```